Diffraction record for NaTiBeTe3. The powder diffractogram is computed, not measured: it uses a crystal structure in Alexandria, relaxed with GGA-PBE and Cu Ka.

Principal peaks in the range 2θ from 5° to 70°, by intensity:
d [Å]  Position (°2θ)  intensity  index
2.970  30.1  100.0  2 1 -1
3.002  29.8  49.0  0 0 3
7.598  11.6  43.1  1 0 -1
3.799  23.4  37.4  2 0 -2
3.442  25.9  34.6  2 0 1
2.015  45.0  33.2  2 1 -4
2.905  30.8  31.0  2 1 0
3.186  28.0  27.2  1 1 1

Structural model:
```
data_NaTiBeTe3
_space_group_name_H-M_alt 'P 1 21/m 1'
_space_group_IT_number 11
_cell_length_a 9.073
_cell_length_b 3.959
_cell_length_c 9.557
_cell_angle_alpha 90.00
_cell_angle_beta 109.53
_cell_angle_gamma 90.00
loop_
_space_group_symop_operation_xyz
'x,y,z'
'-x,-y,-z'
'-x,y+1/2,-z'
'x,-y+1/2,z'
loop_
_atom_site_label
_atom_site_type_symbol
_atom_site_fract_x
_atom_site_fract_y
_atom_site_fract_z
_atom_site_occupancy
Na1 Na 0.176 0.250 0.225 1
Ti1 Ti 0.361 0.750 0.872 1
Be1 Be 0.076 0.250 0.589 1
Te1 Te 0.128 0.250 0.857 1
Te2 Te 0.215 0.750 0.535 1
Te3 Te 0.444 0.750 0.177 1
```